This entry pairs a crystal structure of CrCdPAuNF with its simulated XRD peak list. Radiation: Cu Kα (weighted mean of Kα1 and Kα2). Structure: a crystal structure in Alexandria, relaxed with GGA+U.
Neutral-atom scattering factors, no anomalous dispersion.

Top 12 peaks for 2θ = 10–90°, low angle first:
| d/Å | 2theta | I/Imax |
| --- | --- | --- |
| 4.455 | 19.9 | 26 |
| 3.582 | 24.9 | 42 |
| 2.939 | 30.4 | 52 |
| 2.688 | 33.3 | 45 |
| 2.366 | 38.0 | 100 |
| 2.302 | 39.1 | 32 |
| 2.215 | 40.7 | 37 |
| 1.956 | 46.4 | 19 |
| 1.581 | 58.3 | 18 |
| 1.524 | 60.8 | 20 |
| 1.341 | 70.2 | 17 |
| 1.194 | 80.4 | 19 |

Atomic structure:
```
CrCdPAuNF
1.0
3.014 0.000 0.000
0.000 3.912 0.000
-1.513 0.000 8.910
Cr Cd P Au N F
1 1 1 1 1 1
direct
0.000 0.000 0.000 Cr
0.344 0.000 0.692 Cd
0.667 0.000 0.326 P
0.745 0.500 0.499 Au
0.575 0.000 0.148 N
0.982 0.500 0.965 F
```